[1]
The following is a theoretical powder XRD pattern of Li2Fe3F8. It was derived from DFT lattice parameters and positions (GGA+U), using Cu Kα, 1.54184 Å.
Intensities are scaled so that the largest is 1000.

Top 12 peaks for 2θ = 10–90°, by angle:
2θ/deg, I/Imax
17.77, 244
18.08, 146
20.19, 1000
20.73, 237
23.00, 274
24.22, 256
29.25, 181
29.57, 428
31.71, 217
33.14, 249
41.01, 313
50.96, 169

Structural model:
a = 6.7937 Å, b = 9.4047 Å, c = 11.2922 Å
α = 90.00°, β = 91.53°, γ = 90.00°
Positions (direct):
Li (0.0926, 0.1058, 0.1373)
Li (0.0926, 0.3942, 0.6373)
Li (0.4034, 0.5525, 0.1457)
Li (0.4034, 0.9475, 0.6457)
Li (0.5966, 0.0525, 0.3543)
Li (0.5966, 0.4475, 0.8543)
Li (0.9074, 0.6058, 0.3627)
Li (0.9074, 0.8942, 0.8627)
Fe (0.1095, 0.5479, 0.8768)
Fe (0.1095, 0.9521, 0.3768)
Fe (0.2517, 0.1587, 0.8572)
Fe (0.2517, 0.3413, 0.3572)
Fe (0.4025, 0.6910, 0.4387)
Fe (0.4025, 0.8090, 0.9387)
Fe (0.5975, 0.1910, 0.0613)
Fe (0.5975, 0.3090, 0.5613)
Fe (0.7483, 0.6587, 0.6428)
Fe (0.7483, 0.8413, 0.1428)
Fe (0.8905, 0.0479, 0.6232)
Fe (0.8905, 0.4521, 0.1232)
F (0.0140, 0.5782, 0.6947)
F (0.0140, 0.9218, 0.1947)
F (0.1016, 0.7325, 0.4210)
F (0.1016, 0.7675, 0.9210)
F (0.1641, 0.0050, 0.5678)
F (0.1641, 0.4950, 0.0678)
F (0.1801, 0.1505, 0.2953)
F (0.1801, 0.3495, 0.7953)
F (0.3082, 0.1056, 0.0333)
F (0.3082, 0.3944, 0.5333)
F (0.3643, 0.5393, 0.3138)
F (0.3643, 0.9607, 0.8138)
F (0.4065, 0.5977, 0.8771)
F (0.4065, 0.9023, 0.3771)
F (0.4673, 0.7446, 0.1057)
F (0.4673, 0.7554, 0.6057)
F (0.5327, 0.2446, 0.3943)
F (0.5327, 0.2554, 0.8943)
F (0.5935, 0.0977, 0.6229)
F (0.5935, 0.4023, 0.1229)
F (0.6357, 0.0393, 0.1862)
F (0.6357, 0.4607, 0.6862)
F (0.6918, 0.6056, 0.4667)
F (0.6918, 0.8944, 0.9667)
F (0.8199, 0.6505, 0.2047)
F (0.8199, 0.8495, 0.7047)
F (0.8359, 0.5050, 0.9322)
F (0.8359, 0.9950, 0.4322)
F (0.8984, 0.2325, 0.0790)
F (0.8984, 0.2675, 0.5790)
F (0.9860, 0.0782, 0.8053)
F (0.9860, 0.4218, 0.3053)



[2]
The following is a theoretical powder XRD pattern of Li2Mn3P3O12. It was derived from DFT lattice parameters and positions (GGA+U), using Cu Kα, 1.54184 Å.
Intensities are scaled so that the largest is 1000.

Top 12 peaks for 2θ = 10–90°, by angle:
2θ/deg, I/Imax
14.04, 1000
16.51, 357
25.87, 253
28.17, 671
32.92, 906
33.20, 190
33.36, 290
34.74, 255
36.37, 229
41.41, 272
54.62, 195
59.41, 200

Structural model:
a = 8.7322 Å, b = 8.7322 Å, c = 6.6791 Å
α = 108.44°, β = 108.44°, γ = 92.49°
Positions (direct):
Li (0.0000, 0.0000, 0.0000)
Li (0.0000, 0.0000, 0.5000)
Li (0.4900, 0.5100, 0.7500)
Li (0.5100, 0.4900, 0.2500)
Mn (0.1199, 0.4372, 0.3624)
Mn (0.2263, 0.7737, 0.2500)
Mn (0.4372, 0.1199, 0.8624)
Mn (0.5628, 0.8801, 0.1376)
Mn (0.7737, 0.2263, 0.7500)
Mn (0.8801, 0.5628, 0.6376)
P (0.1621, 0.3768, 0.8747)
P (0.2075, 0.7925, 0.7500)
P (0.3768, 0.1621, 0.3747)
P (0.6232, 0.8379, 0.6253)
P (0.7925, 0.2075, 0.2500)
P (0.8379, 0.6232, 0.1253)
O (0.0343, 0.7753, 0.7669)
O (0.0378, 0.2216, 0.8100)
O (0.1040, 0.4560, 0.6901)
O (0.1742, 0.5057, 0.1048)
O (0.2216, 0.0378, 0.3100)
O (0.2247, 0.9657, 0.7331)
O (0.2333, 0.6748, 0.5376)
O (0.3252, 0.7667, 0.9624)
O (0.3404, 0.3419, 0.9031)
O (0.3419, 0.3404, 0.4031)
O (0.4560, 0.1040, 0.1901)
O (0.4943, 0.8258, 0.3952)
O (0.5057, 0.1742, 0.6048)
O (0.5440, 0.8960, 0.8099)
O (0.6581, 0.6596, 0.5969)
O (0.6596, 0.6581, 0.0969)
O (0.6748, 0.2333, 0.0376)
O (0.7667, 0.3252, 0.4624)
O (0.7753, 0.0343, 0.2669)
O (0.7784, 0.9622, 0.6900)
O (0.8258, 0.4943, 0.8952)
O (0.8960, 0.5440, 0.3099)
O (0.9622, 0.7784, 0.1900)
O (0.9657, 0.2247, 0.2331)



[3]
The following is a theoretical powder XRD pattern of MnH5SO7. It was derived from DFT lattice parameters and positions (GGA+U), using Cu Kα, 1.54184 Å.
Intensities are scaled so that the largest is 1000.

Top 12 peaks for 2θ = 10–90°, by angle:
2θ/deg, I/Imax
14.01, 107
15.76, 85
16.59, 1000
18.59, 116
19.96, 137
24.91, 154
27.81, 185
28.30, 664
29.24, 169
33.53, 280
49.72, 90
50.18, 92

Structural model:
a = 7.2064 Å, b = 7.2740 Å, c = 12.1850 Å
α = 90.00°, β = 118.68°, γ = 90.00°
Positions (direct):
Mn (0.0000, 0.0000, 0.0000)
Mn (0.0000, 0.0000, 0.5000)
Mn (0.0000, 0.5000, 0.0000)
Mn (0.0000, 0.5000, 0.5000)
H (0.0426, 0.0078, 0.2374)
H (0.0426, 0.4922, 0.7374)
H (0.2490, 0.1420, 0.7537)
H (0.2490, 0.3580, 0.2537)
H (0.2554, 0.7500, 0.0268)
H (0.2554, 0.7500, 0.5268)
H (0.2680, 0.5729, 0.2611)
H (0.2680, 0.9271, 0.7611)
H (0.2711, 0.5407, 0.7603)
H (0.2711, 0.9593, 0.2603)
H (0.7289, 0.0407, 0.7397)
H (0.7289, 0.4593, 0.2397)
H (0.7320, 0.0729, 0.2389)
H (0.7320, 0.4271, 0.7389)
H (0.7446, 0.2500, 0.4732)
H (0.7446, 0.2500, 0.9732)
H (0.7510, 0.6420, 0.7463)
H (0.7510, 0.8580, 0.2463)
H (0.9574, 0.5078, 0.2626)
H (0.9574, 0.9922, 0.7626)
S (0.3872, 0.2460, 0.5210)
S (0.3872, 0.2540, 0.0210)
S (0.6128, 0.7460, 0.9790)
S (0.6128, 0.7540, 0.4790)
O (0.1105, 0.7491, 0.0179)
O (0.1105, 0.7509, 0.5179)
O (0.1441, 0.0329, 0.2064)
O (0.1441, 0.4671, 0.7064)
O (0.1677, 0.0289, 0.7172)
O (0.1677, 0.4711, 0.2172)
O (0.2382, 0.0826, 0.4812)
O (0.2382, 0.4174, 0.9812)
O (0.2562, 0.0825, 0.0008)
O (0.2562, 0.4175, 0.5008)
O (0.4561, 0.7308, 0.8463)
O (0.4561, 0.7692, 0.3463)
O (0.4768, 0.2455, 0.9367)
O (0.4768, 0.2545, 0.4367)
O (0.5232, 0.7455, 0.5633)
O (0.5232, 0.7545, 0.0633)
O (0.5439, 0.2308, 0.6537)
O (0.5439, 0.2692, 0.1537)
O (0.7438, 0.5825, 0.4992)
O (0.7438, 0.9175, 0.9992)
O (0.7618, 0.5826, 0.0188)
O (0.7618, 0.9174, 0.5188)
O (0.8323, 0.5289, 0.7828)
O (0.8323, 0.9711, 0.2828)
O (0.8559, 0.5329, 0.2936)
O (0.8559, 0.9671, 0.7936)
O (0.8895, 0.2491, 0.4821)
O (0.8895, 0.2509, 0.9821)